Structure and simulated powder diffraction line list of K2TlRuF6 (a PBE-relaxed structure; Cu Kα).
No peak broadening, texture or thermal motion is included.

Top 12 peaks for 2θ = 15–90°, low angle first:
d [Å]  intensity  index
4.625  65  2 0 0
3.270  100  2 2 0
2.789  11  3 1 1
2.312  37  4 0 0
2.122  9  3 3 1
2.068  29  4 2 0
1.888  39  4 2 2
1.635  23  4 4 0
1.542  14  6 0 0
1.462  20  6 2 0
1.236  22  6 4 2
1.122  8  6 4 4

Structure:
Cell: 9.2491 9.2491 9.2491 Å, 90.00 90.00 90.00°
Space group Fm-3m (No. 225)
Unique sites:
K  0.2500  0.2500  0.2500 [8 per cell]
Tl  0.0000  0.0000  0.0000 [4 per cell]
Ru  0.0000  0.0000  0.5000 [4 per cell]
F  0.0000  0.0000  0.2810 [24 per cell]

=====

Structure and simulated powder diffraction line list of BeO2 (a PBE-relaxed structure; Cu Kα).
No peak broadening, texture or thermal motion is included.

Top 12 peaks for 2θ = 15–90°, low angle first:
d [Å]  intensity  index
4.109  100  1 1 -1
3.883  53  1 1 1
3.661  50  2 0 1
3.522  47  2 0 -2
3.496  33  0 0 3
3.203  25  2 1 0
2.966  28  2 1 1
2.890  29  2 1 -2
2.529  25  0 2 0
2.234  26  1 2 -2
2.097  27  0 0 5
1.913  28  4 0 -3

Structure:
Cell: 8.3736 5.0582 10.6135 Å, 90.00 98.84 90.00°
Space group P2_1 (No. 4)
Unique sites:
Be  0.0129  0.0000  0.0792 [2 per cell]
Be  0.0814  0.4290  0.6524 [2 per cell]
Be  0.2150  0.2212  0.3285 [2 per cell]
Be  0.2668  0.9374  0.6573 [2 per cell]
Be  0.4086  0.7264  0.3243 [2 per cell]
Be  0.4848  0.9917  0.9210 [2 per cell]
O  0.0511  0.7335  0.0128 [2 per cell]
O  0.0798  0.0937  0.4042 [2 per cell]
O  0.0860  0.4340  0.8057 [2 per cell]
O  0.1270  0.1404  0.6085 [2 per cell]
O  0.1493  0.1414  0.1817 [2 per cell]
O  0.2132  0.6403  0.6294 [2 per cell]
O  0.2807  0.5137  0.3492 [2 per cell]
O  0.3319  0.9475  0.8091 [2 per cell]
O  0.3557  0.0133  0.3588 [2 per cell]
O  0.4169  0.6466  0.1778 [2 per cell]
O  0.4223  0.0852  0.6177 [2 per cell]
O  0.4540  0.2211  0.0156 [2 per cell]